The following is a simulated PXRD pattern of Sc2Co3Si5. It was derived from DFT lattice parameters and positions (PBE), using Cu Kα (λ = 1.5418 Å).
Neutral-atom scattering factors, no anomalous dispersion.

Largest 10 diffraction maxima, in order of rising 2θ, 15° ≤ 2θ ≤ 90°:
- 19.20°, d = 4.623 Å, I = 24
- 25.69°, d = 3.467 Å, I = 36
- 36.33°, d = 2.473 Å, I = 19
- 36.67°, d = 2.451 Å, I = 51
- 37.50°, d = 2.398 Å, I = 56
- 37.93°, d = 2.372 Å, I = 67
- 38.13°, d = 2.360 Å, I = 51
- 39.75°, d = 2.268 Å, I = 21
- 46.98°, d = 1.934 Å, I = 100
- 50.02°, d = 1.823 Å, I = 17

Structural model:
a = 7.675 Å, b = 7.675 Å, c = 5.347 Å
α = 108.70°, β = 108.70°, γ = 93.94°
Fractional coordinates of all 20 atoms:
Sc 0.094 0.371 0.235
Sc 0.371 0.094 0.735
Sc 0.629 0.906 0.265
Sc 0.906 0.629 0.765
Co 0.043 0.763 0.373
Co 0.237 0.957 0.127
Co 0.497 0.503 0.250
Co 0.503 0.497 0.750
Co 0.763 0.043 0.873
Co 0.957 0.237 0.627
Si 0.013 0.987 0.750
Si 0.235 0.428 0.830
Si 0.273 0.727 0.750
Si 0.289 0.711 0.250
Si 0.428 0.235 0.330
Si 0.572 0.765 0.670
Si 0.711 0.289 0.750
Si 0.727 0.273 0.250
Si 0.765 0.572 0.170
Si 0.987 0.013 0.250



The following is a simulated PXRD pattern of Sc6CoTe2. It was derived from DFT lattice parameters and positions (PBE), using Cu Kα (λ = 1.5418 Å).
Neutral-atom scattering factors, no anomalous dispersion.

Largest 10 diffraction maxima, in order of rising 2θ, 15° ≤ 2θ ≤ 90°:
- 22.87°, d = 3.889 Å, I = 75
- 27.29°, d = 3.268 Å, I = 25
- 33.25°, d = 2.695 Å, I = 100
- 35.25°, d = 2.546 Å, I = 39
- 35.89°, d = 2.502 Å, I = 86
- 40.16°, d = 2.245 Å, I = 67
- 42.99°, d = 2.104 Å, I = 70
- 48.74°, d = 1.868 Å, I = 28
- 64.93°, d = 1.436 Å, I = 30
- 65.35°, d = 1.428 Å, I = 29

Structural model:
a = 7.778 Å, b = 7.778 Å, c = 3.737 Å
α = 90.00°, β = 90.00°, γ = 120.00°
Fractional coordinates of all 9 atoms:
Sc 0.000 0.235 0.000
Sc 0.000 0.613 0.500
Sc 0.235 0.000 0.000
Sc 0.387 0.387 0.500
Sc 0.613 0.000 0.500
Sc 0.765 0.765 0.000
Co 0.000 0.000 0.500
Te 0.333 0.667 0.000
Te 0.667 0.333 0.000



The following is a simulated PXRD pattern of CoSe. It was derived from DFT lattice parameters and positions (PBE), using Cu Kα (λ = 1.5418 Å).
Neutral-atom scattering factors, no anomalous dispersion.

Largest 10 diffraction maxima, in order of rising 2θ, 15° ≤ 2θ ≤ 90°:
- 15.70°, d = 5.646 Å, I = 72
- 28.97°, d = 3.083 Å, I = 100
- 38.08°, d = 2.363 Å, I = 28
- 47.53°, d = 1.913 Å, I = 78
- 49.55°, d = 1.840 Å, I = 34
- 52.30°, d = 1.749 Å, I = 11
- 54.79°, d = 1.675 Å, I = 16
- 58.42°, d = 1.580 Å, I = 27
- 76.98°, d = 1.239 Å, I = 12
- 87.01°, d = 1.120 Å, I = 13

Structural model:
a = 3.679 Å, b = 3.679 Å, c = 5.646 Å
α = 90.00°, β = 90.00°, γ = 90.00°
Fractional coordinates of all 4 atoms:
Co 0.250 0.750 0.000
Co 0.750 0.250 0.000
Se 0.250 0.250 0.248
Se 0.750 0.750 0.752